# CaV2O10
Computed powder X-ray diffraction pattern, λ = 1.5418 Å (Cu Kα). Input: DFT lattice parameters and positions (GGA+U).

Top 12 peaks for 2θ = 15–90°, low angle first:
d [Å], two_theta, intensity, index
5.599, 15.83, 332, 1 -1 0
4.378, 20.29, 294, -1 1 1
4.293, 20.69, 1000, 0 0 2
3.467, 25.69, 493, 1 -2 1
3.364, 26.50, 938, 0 2 -1
3.170, 28.15, 312, 2 0 0
3.146, 28.37, 226, 2 -1 1
3.126, 28.55, 366, 2 0 -1
3.109, 28.71, 398, 0 1 2
2.798, 31.99, 338, 2 -2 1
2.702, 33.16, 259, 1 1 -3
2.114, 42.78, 231, 3 0 0

Cell and atoms:
```
CaV2O10
1.0
6.791 0.000 0.000
-2.359 6.735 0.000
-0.293 -2.998 8.585
Ca V O
2 4 20
Direct
0.191 0.180 0.338
0.809 0.820 0.662
0.176 0.605 0.154
0.351 0.454 0.806
0.649 0.546 0.194
0.824 0.395 0.846
0.134 0.453 0.269
0.134 0.474 0.924
0.134 0.974 0.878
0.208 0.855 0.257
0.213 0.904 0.640
0.224 0.279 0.627
0.278 0.959 0.788
0.457 0.565 0.499
0.464 0.645 0.131
0.495 0.686 0.789
0.505 0.314 0.211
0.536 0.355 0.869
0.543 0.435 0.501
0.722 0.041 0.212
0.776 0.721 0.373
0.787 0.096 0.360
0.792 0.145 0.743
0.866 0.026 0.122
0.866 0.526 0.076
0.866 0.547 0.731
```